For LiNi2P5O16, a GGA+U-relaxed structure gives the simulated XRD peak list in this record (Cu Kα (weighted mean of Kα1 and Kα2)).
No peak broadening, texture or thermal motion is included.

Most intense lines, 2θ from 10° to 90°, in order of rising 2θ:
| 2theta | I (rel.) | (hkl) |
| --- | --- | --- |
| 13.93 | 75 | 0 1 1 |
| 16.18 | 17 | 0 1 2 |
| 18.96 | 51 | 0 0 4 |
| 22.53 | 100 | 1 1 -1 |
| 24.02 | 27 | 1 1 2 |
| 28.61 | 22 | 0 0 6 |
| 32.27 | 32 | 1 2 1 |
| 32.68 | 21 | 1 1 5 |
| 33.33 | 16 | 1 2 -2 |
| 35.71 | 14 | 2 0 0 |

Structure:
a = 5.030 Å, b = 6.758 Å, c = 18.720 Å
α = 90.00°, β = 90.25°, γ = 90.00°
Element x y z (fractional)
Li 0.000 0.045 0.000
Li 0.000 0.955 0.500
Ni 0.007 0.327 0.571
Ni 0.007 0.673 0.071
Ni 0.503 0.310 0.884
Ni 0.503 0.690 0.384
P 0.022 0.367 0.399
P 0.022 0.633 0.899
P 0.262 0.254 0.727
P 0.262 0.746 0.227
P 0.494 0.364 0.056
P 0.494 0.636 0.556
P 0.518 0.037 0.608
P 0.518 0.963 0.108
P 0.987 0.034 0.843
P 0.987 0.966 0.343
O 0.039 0.199 0.336
O 0.039 0.801 0.836
O 0.067 0.095 0.764
O 0.067 0.905 0.264
O 0.108 0.372 0.674
O 0.108 0.628 0.174
O 0.164 0.126 0.900
O 0.164 0.874 0.400
O 0.201 0.420 0.044
O 0.201 0.580 0.544
O 0.308 0.441 0.410
O 0.308 0.559 0.910
O 0.311 0.117 0.558
O 0.311 0.883 0.058
O 0.405 0.372 0.783
O 0.405 0.628 0.283
O 0.473 0.111 0.689
O 0.473 0.889 0.189
O 0.481 0.196 0.119
O 0.481 0.804 0.619
O 0.609 0.260 0.990
O 0.609 0.740 0.490
O 0.661 0.471 0.586
O 0.661 0.529 0.086
O 0.692 0.063 0.854
O 0.692 0.937 0.354
O 0.808 0.067 0.590
O 0.808 0.933 0.090
O 0.842 0.473 0.870
O 0.842 0.527 0.370
O 0.931 0.257 0.466
O 0.931 0.743 0.966